Entry 1:
GdTm3C2Se2: simulated powder diffractogram (a wavelength of 1.5418 Å), based on a cell relaxed with GGA-PBE.
No peak broadening, texture or thermal motion is included.

The 10 most intense peaks (2θ from 10° to 90°), in order of rising 2θ:
2θ 27.65, rel. 29
2θ 28.49, rel. 14
2θ 34.52, rel. 100
2θ 41.18, rel. 10
2θ 48.90, rel. 28
2θ 50.33, rel. 10
2θ 56.70, rel. 9
2θ 61.23, rel. 19
2θ 65.80, rel. 15
2θ 82.04, rel. 17

Cell and atoms:
Cell lengths 3.725, 3.725, 13.151 Å; angles 90.00, 90.00, 120.00 degrees
Atoms (fractional coordinates):
1 Gd 0.000 0.000 0.000
2 Tm 0.000 0.000 0.697
3 Tm 0.667 0.333 0.203
4 Tm 0.667 0.333 0.500
5 C 0.333 0.667 0.104
6 C 0.333 0.667 0.598
7 Se 0.000 0.000 0.351
8 Se 0.667 0.333 0.844

---

Entry 2:
PrDy2Hg5: simulated powder diffractogram (a wavelength of 1.5418 Å), based on a cell relaxed with GGA-PBE.
No peak broadening, texture or thermal motion is included.

The 10 most intense peaks (2θ from 10° to 90°), in order of rising 2θ:
2θ 34.16, rel. 53
2θ 34.35, rel. 100
2θ 49.09, rel. 19
2θ 49.65, rel. 10
2θ 61.28, rel. 38
2θ 61.64, rel. 17
2θ 71.96, rel. 6
2θ 72.40, rel. 11
2θ 82.11, rel. 9
2θ 82.22, rel. 9

Cell and atoms:
Cell lengths 5.249, 5.249, 14.692 Å; angles 90.00, 90.00, 90.00 degrees
Atoms (fractional coordinates):
1 Pr 0.000 0.000 0.000
2 Pr 0.500 0.500 0.500
3 Dy 0.000 0.000 0.267
4 Dy 0.000 0.000 0.733
5 Dy 0.500 0.500 0.233
6 Dy 0.500 0.500 0.767
7 Hg 0.000 0.000 0.500
8 Hg 0.000 0.500 0.129
9 Hg 0.000 0.500 0.371
10 Hg 0.000 0.500 0.629
11 Hg 0.000 0.500 0.871
12 Hg 0.500 0.000 0.129
13 Hg 0.500 0.000 0.371
14 Hg 0.500 0.000 0.629
15 Hg 0.500 0.000 0.871
16 Hg 0.500 0.500 0.000

---

Entry 3:
NdAg3S3: simulated powder diffractogram (a wavelength of 1.5418 Å), based on a cell relaxed with GGA-PBE.
No peak broadening, texture or thermal motion is included.

The 10 most intense peaks (2θ from 10° to 90°), in order of rising 2θ:
2θ 24.22, rel. 21
2θ 26.24, rel. 35
2θ 26.88, rel. 100
2θ 32.87, rel. 41
2θ 34.42, rel. 48
2θ 37.54, rel. 50
2θ 39.83, rel. 65
2θ 42.95, rel. 16
2θ 46.80, rel. 21
2θ 49.84, rel. 20

Cell and atoms:
Cell lengths 7.139, 7.139, 7.139 Å; angles 107.18, 107.18, 107.18 degrees
Atoms (fractional coordinates):
1 Nd 0.000 0.000 0.000
2 Nd 0.500 0.500 0.500
3 Ag 0.084 0.303 0.692
4 Ag 0.192 0.803 0.584
5 Ag 0.303 0.692 0.084
6 Ag 0.584 0.192 0.803
7 Ag 0.692 0.084 0.303
8 Ag 0.803 0.584 0.192
9 S 0.044 0.365 0.353
10 S 0.353 0.044 0.365
11 S 0.365 0.353 0.044
12 S 0.544 0.853 0.865
13 S 0.853 0.865 0.544
14 S 0.865 0.544 0.853

---

Entry 4:
Na2TcCl6: simulated powder diffractogram (a wavelength of 1.5418 Å), based on a cell relaxed with GGA-PBE.
No peak broadening, texture or thermal motion is included.

The 10 most intense peaks (2θ from 10° to 90°), in order of rising 2θ:
2θ 14.94, rel. 36
2θ 16.00, rel. 100
2θ 20.04, rel. 83
2θ 26.66, rel. 21
2θ 30.30, rel. 65
2θ 31.94, rel. 21
2θ 39.42, rel. 68
2θ 40.73, rel. 36
2θ 49.35, rel. 39
2θ 63.00, rel. 22

Cell and atoms:
Cell lengths 6.266, 6.266, 11.859 Å; angles 90.00, 90.00, 90.00 degrees
Atoms (fractional coordinates):
1 Na 0.000 0.000 0.166
2 Na 0.000 0.000 0.834
3 Na 0.500 0.500 0.334
4 Na 0.500 0.500 0.666
5 Tc 0.000 0.000 0.500
6 Tc 0.500 0.500 0.000
7 Cl 0.186 0.186 0.356
8 Cl 0.186 0.186 0.644
9 Cl 0.232 0.232 0.000
10 Cl 0.268 0.732 0.500
11 Cl 0.314 0.686 0.144
12 Cl 0.314 0.686 0.856
13 Cl 0.686 0.314 0.144
14 Cl 0.686 0.314 0.856
15 Cl 0.732 0.268 0.500
16 Cl 0.768 0.768 0.000
17 Cl 0.814 0.814 0.356
18 Cl 0.814 0.814 0.644

---

Entry 5:
Er3Te2: simulated powder diffractogram (a wavelength of 1.5418 Å), based on a cell relaxed with GGA-PBE.
No peak broadening, texture or thermal motion is included.

The 10 most intense peaks (2θ from 10° to 90°), in order of rising 2θ:
2θ 30.90, rel. 61
2θ 31.33, rel. 62
2θ 32.03, rel. 100
2θ 32.66, rel. 73
2θ 32.94, rel. 66
2θ 34.57, rel. 48
2θ 35.39, rel. 91
2θ 39.01, rel. 47
2θ 40.94, rel. 51
2θ 44.66, rel. 61

Cell and atoms:
Cell lengths 11.786, 4.058, 11.560 Å; angles 90.00, 90.00, 90.00 degrees
Atoms (fractional coordinates):
1 Er 0.044 0.250 0.123
2 Er 0.123 0.750 0.568
3 Er 0.208 0.250 0.793
4 Er 0.292 0.750 0.293
5 Er 0.377 0.250 0.068
6 Er 0.456 0.750 0.623
7 Er 0.544 0.250 0.377
8 Er 0.623 0.750 0.932
9 Er 0.708 0.250 0.707
10 Er 0.792 0.750 0.207
11 Er 0.877 0.250 0.432
12 Er 0.956 0.750 0.877
13 Te 0.035 0.750 0.321
14 Te 0.195 0.750 0.998
15 Te 0.305 0.250 0.498
16 Te 0.465 0.250 0.821
17 Te 0.535 0.750 0.179
18 Te 0.695 0.750 0.502
19 Te 0.805 0.250 0.002
20 Te 0.965 0.250 0.679

---

Entry 6:
La2Cd2Pb3: simulated powder diffractogram (a wavelength of 1.5418 Å), based on a cell relaxed with GGA-PBE.
No peak broadening, texture or thermal motion is included.

The 10 most intense peaks (2θ from 10° to 90°), in order of rising 2θ:
2θ 19.50, rel. 13
2θ 25.56, rel. 13
2θ 33.25, rel. 100
2θ 33.60, rel. 100
2θ 47.99, rel. 36
2θ 59.20, rel. 18
2θ 59.86, rel. 37
2θ 60.08, rel. 19
2θ 79.75, rel. 15
2θ 80.33, rel. 16

Cell and atoms:
Cell lengths 9.365, 9.365, 9.365 Å; angles 33.10, 33.10, 33.10 degrees
Atoms (fractional coordinates):
1 La 0.000 0.000 0.000
2 La 0.498 0.498 0.498
3 Cd 0.242 0.242 0.242
4 Cd 0.751 0.751 0.751
5 Pb 0.378 0.378 0.378
6 Pb 0.623 0.623 0.623
7 Pb 0.870 0.870 0.870

---

Entry 7:
TbI3O9: simulated powder diffractogram (a wavelength of 1.5418 Å), based on a cell relaxed with GGA-PBE.
No peak broadening, texture or thermal motion is included.

The 10 most intense peaks (2θ from 10° to 90°), in order of rising 2θ:
2θ 21.43, rel. 18
2θ 23.82, rel. 33
2θ 26.92, rel. 100
2θ 27.51, rel. 82
2θ 30.96, rel. 40
2θ 32.67, rel. 45
2θ 44.32, rel. 18
2θ 44.87, rel. 21
2θ 52.32, rel. 16
2θ 54.55, rel. 15

Cell and atoms:
Cell lengths 8.633, 5.785, 16.181 Å; angles 90.00, 114.90, 90.00 degrees
Atoms (fractional coordinates):
1 Tb 0.139 0.229 0.100
2 Tb 0.139 0.271 0.600
3 Tb 0.861 0.729 0.400
4 Tb 0.861 0.771 0.900
5 I 0.076 0.188 0.349
6 I 0.076 0.312 0.849
7 I 0.362 0.653 0.524
8 I 0.362 0.847 0.024
9 I 0.418 0.598 0.798
10 I 0.418 0.902 0.298
11 I 0.582 0.098 0.702
12 I 0.582 0.402 0.202
13 I 0.638 0.153 0.976
14 I 0.638 0.347 0.476
15 I 0.924 0.688 0.151
16 I 0.924 0.812 0.651
17 O 0.062 0.064 0.704
18 O 0.062 0.436 0.204
19 O 0.101 0.090 0.462
20 O 0.101 0.410 0.962
21 O 0.102 0.605 0.674
22 O 0.102 0.895 0.174
23 O 0.130 0.601 0.491
24 O 0.130 0.899 0.991
25 O 0.338 0.592 0.888
26 O 0.338 0.908 0.388
27 O 0.344 0.196 0.258
28 O 0.344 0.304 0.758
29 O 0.357 0.086 0.944
30 O 0.357 0.414 0.444
31 O 0.361 0.506 0.133
32 O 0.361 0.994 0.633
33 O 0.403 0.034 0.124
34 O 0.403 0.466 0.624
35 O 0.597 0.534 0.376
36 O 0.597 0.966 0.876
37 O 0.639 0.006 0.367
38 O 0.639 0.494 0.867
39 O 0.643 0.586 0.556
40 O 0.643 0.914 0.056
41 O 0.656 0.696 0.242
42 O 0.656 0.804 0.742
43 O 0.662 0.092 0.612
44 O 0.662 0.408 0.112
45 O 0.870 0.101 0.009
46 O 0.870 0.399 0.509
47 O 0.898 0.105 0.826
48 O 0.898 0.395 0.326
49 O 0.899 0.590 0.038
50 O 0.899 0.910 0.538
51 O 0.938 0.564 0.796
52 O 0.938 0.936 0.296

---

Entry 8:
Sr2LiH6Pd: simulated powder diffractogram (a wavelength of 1.5418 Å), based on a cell relaxed with GGA-PBE.
No peak broadening, texture or thermal motion is included.

The 10 most intense peaks (2θ from 10° to 90°), in order of rising 2θ:
2θ 20.13, rel. 31
2θ 23.28, rel. 5
2θ 33.16, rel. 100
2θ 39.10, rel. 16
2θ 47.60, rel. 19
2θ 52.18, rel. 7
2θ 59.24, rel. 37
2θ 63.23, rel. 5
2θ 69.60, rel. 12
2θ 79.29, rel. 16

Cell and atoms:
Cell lengths 5.403, 5.403, 7.641 Å; angles 90.00, 90.00, 90.00 degrees
Atoms (fractional coordinates):
1 Sr 0.000 0.500 0.250
2 Sr 0.000 0.500 0.750
3 Sr 0.500 0.000 0.250
4 Sr 0.500 0.000 0.750
5 Li 0.000 0.000 0.000
6 Li 0.500 0.500 0.500
7 H 0.000 0.000 0.255
8 H 0.000 0.000 0.745
9 H 0.242 0.752 0.500
10 H 0.248 0.242 0.500
11 H 0.254 0.257 0.000
12 H 0.257 0.746 0.000
13 H 0.500 0.500 0.245
14 H 0.500 0.500 0.755
15 H 0.743 0.254 0.000
16 H 0.746 0.743 0.000
17 H 0.752 0.758 0.500
18 H 0.758 0.248 0.500
19 Pd 0.000 0.000 0.500
20 Pd 0.500 0.500 0.000

---

Entry 9:
LaSmGe2: simulated powder diffractogram (a wavelength of 1.5418 Å), based on a cell relaxed with GGA-PBE.
No peak broadening, texture or thermal motion is included.

The 10 most intense peaks (2θ from 10° to 90°), in order of rising 2θ:
2θ 24.32, rel. 73
2θ 27.61, rel. 65
2θ 29.06, rel. 90
2θ 32.68, rel. 99
2θ 32.92, rel. 97
2θ 34.71, rel. 84
2θ 36.89, rel. 100
2θ 47.07, rel. 71
2θ 48.42, rel. 80
2θ 61.10, rel. 39

Cell and atoms:
Cell lengths 5.168, 16.000, 5.480 Å; angles 90.00, 90.00, 90.00 degrees
Atoms (fractional coordinates):
1 La 0.000 0.169 0.250
2 La 0.000 0.831 0.750
3 La 0.500 0.331 0.750
4 La 0.500 0.669 0.250
5 Sm 0.000 0.393 0.250
6 Sm 0.000 0.607 0.750
7 Sm 0.500 0.107 0.750
8 Sm 0.500 0.893 0.250
9 Ge 0.000 0.018 0.750
10 Ge 0.000 0.241 0.750
11 Ge 0.000 0.759 0.250
12 Ge 0.000 0.982 0.250
13 Ge 0.500 0.259 0.250
14 Ge 0.500 0.482 0.250
15 Ge 0.500 0.518 0.750
16 Ge 0.500 0.741 0.750

---

Entry 10:
NiB2Mo2: simulated powder diffractogram (a wavelength of 1.5418 Å), based on a cell relaxed with GGA-PBE.
No peak broadening, texture or thermal motion is included.

The 10 most intense peaks (2θ from 10° to 90°), in order of rising 2θ:
2θ 27.83, rel. 25
2θ 32.56, rel. 17
2θ 38.68, rel. 76
2θ 41.58, rel. 100
2θ 44.08, rel. 72
2θ 48.32, rel. 20
2θ 57.49, rel. 18
2θ 71.46, rel. 24
2θ 75.53, rel. 24
2θ 77.61, rel. 26

Cell and atoms:
Cell lengths 3.072, 10.703, 3.206 Å; angles 90.00, 90.00, 90.00 degrees
Atoms (fractional coordinates):
1 Ni 0.000 0.000 0.000
2 Ni 0.500 0.500 0.000
3 B 0.000 0.204 0.000
4 B 0.000 0.796 0.000
5 B 0.500 0.296 0.000
6 B 0.500 0.704 0.000
7 Mo 0.000 0.363 0.500
8 Mo 0.000 0.637 0.500
9 Mo 0.500 0.137 0.500
10 Mo 0.500 0.863 0.500

---

Entry 11:
Na2Mg2Sn2IrPt: simulated powder diffractogram (a wavelength of 1.5418 Å), based on a cell relaxed with GGA-PBE.
No peak broadening, texture or thermal motion is included.

The 10 most intense peaks (2θ from 10° to 90°), in order of rising 2θ:
2θ 23.14, rel. 67
2θ 26.79, rel. 4
2θ 38.24, rel. 100
2θ 45.18, rel. 35
2θ 55.19, rel. 17
2θ 60.64, rel. 15
2θ 69.13, rel. 35
2θ 74.00, rel. 12
2θ 81.86, rel. 11
2θ 86.50, rel. 12

Cell and atoms:
Cell lengths 4.706, 4.706, 6.660 Å; angles 90.00, 90.00, 90.00 degrees
Atoms (fractional coordinates):
1 Na 0.000 0.000 0.000
2 Na 0.500 0.500 0.500
3 Mg 0.000 0.500 0.248
4 Mg 0.500 0.000 0.752
5 Sn 0.000 0.500 0.757
6 Sn 0.500 0.000 0.243
7 Ir 0.500 0.500 0.000
8 Pt 0.000 0.000 0.500

---

Entry 12:
Na3Ag2Pb: simulated powder diffractogram (a wavelength of 1.5418 Å), based on a cell relaxed with GGA-PBE.
No peak broadening, texture or thermal motion is included.

The 10 most intense peaks (2θ from 10° to 90°), in order of rising 2θ:
2θ 17.53, rel. 100
2θ 19.75, rel. 83
2θ 24.84, rel. 20
2θ 31.94, rel. 94
2θ 35.36, rel. 28
2θ 35.80, rel. 69
2θ 39.76, rel. 69
2θ 40.12, rel. 71
2θ 55.18, rel. 20
2θ 55.73, rel. 20

Cell and atoms:
Cell lengths 7.168, 5.825, 5.840 Å; angles 75.83, 51.99, 52.18 degrees
Atoms (fractional coordinates):
1 Na 0.000 0.000 0.000
2 Na 0.500 0.819 0.181
3 Na 0.819 0.500 0.500
4 Ag 0.407 0.407 0.093
5 Ag 0.907 0.907 0.593
6 Pb 0.332 0.332 0.668